CaZnF4: theoretical powder diffraction line list (Cu Kα X-rays), based on a DFT-relaxed cell (PBE, the Materials Project).
Neutral-atom scattering factors, no anomalous dispersion.

Principal peaks in the range 5° ≤ 2θ ≤ 70°, in order of rising 2θ:
2θ = 18.37°, intensity 9, hkl 1 0 1; 2θ = 28.45°, intensity 100, hkl 1 1 2; 2θ = 29.13°, intensity 9, hkl 1 0 3; 2θ = 38.46°, intensity 9, hkl 1 2 1; 2θ = 40.01°, intensity 10, hkl 1 1 4; 2θ = 46.93°, intensity 41, hkl 2 0 4; 2θ = 48.08°, intensity 22, hkl 2 2 0; 2θ = 54.76°, intensity 16, hkl 1 1 6; 2θ = 56.82°, intensity 28, hkl 1 3 2; 2θ = 58.87°, intensity 7, hkl 2 2 4

Structure:
```
data_CaZnF4
_cell_length_a 5.352
_cell_length_b 5.352
_cell_length_c 11.219
_cell_angle_alpha 90.00
_cell_angle_beta 90.00
_cell_angle_gamma 90.00
_space_group_name_H-M_alt 'I 41/a'
_space_group_IT_number 88
loop_
_space_group_symop_operation_xyz
'x,y,z'
'-x,-y,-z'
'-y+3/4,x+1/4,z+1/4'
'y+3/4,-x+1/4,-z+1/4'
'-x+1/2,-y,z+1/2'
'x+1/2,y,-z+1/2'
'y+3/4,-x+3/4,z+3/4'
'-y+3/4,x+3/4,-z+3/4'
'x+1/2,y+1/2,z+1/2'
'-x+1/2,-y+1/2,-z+1/2'
'-y+1/4,x+3/4,z+3/4'
'y+1/4,-x+3/4,-z+3/4'
'-x,-y+1/2,z'
'x,y+1/2,-z'
'y+1/4,-x+1/4,z+1/4'
'-y+1/4,x+1/4,-z+1/4'
loop_
_atom_site_label
_atom_site_type_symbol
_atom_site_fract_x
_atom_site_fract_y
_atom_site_fract_z
_atom_site_occupancy
Ca1 Ca 0.000 0.250 0.125 1
Zn1 Zn 0.000 0.250 0.625 1
F1 F 0.176 0.014 0.288 1
```